This entry pairs a crystal structure of GdHSO5 with its computed powder diffractogram. Radiation: Cu Ka. Structure: a DFT-relaxed cell (PBE, the Materials Project).
Kinematic intensities with the Lorentz-polarization factor, no thermal factor.

The 10 most intense peaks (10° ≤ 2θ ≤ 90°), by intensity:
14.35°, I = 100, (0 2 0); 27.98°, I = 82, (1 0 -2); 32.02°, I = 59, (0 4 1); 30.03°, I = 57, (1 1 1); 19.70°, I = 47, (0 2 1); 30.55°, I = 39, (1 3 0); 25.40°, I = 37, (1 2 -1); 46.26°, I = 37, (1 3 2); 41.74°, I = 35, (0 1 3); 41.30°, I = 35, (2 1 -1)

```
GdHSO5
1.0
4.446 0.000 0.000
0.000 12.345 0.000
-2.483 0.000 6.598
Gd H S O
4 4 4 20
Direct
0.163 0.061 0.299 Gd
0.163 0.439 0.799 Gd
0.837 0.561 0.201 Gd
0.837 0.939 0.701 Gd
0.214 0.653 0.986 H
0.214 0.847 0.486 H
0.786 0.153 0.514 H
0.786 0.347 0.014 H
0.413 0.148 0.892 S
0.413 0.352 0.392 S
0.587 0.648 0.608 S
0.587 0.852 0.108 S
0.195 0.070 0.949 O
0.195 0.430 0.449 O
0.238 0.581 0.046 O
0.238 0.919 0.546 O
0.240 0.248 0.329 O
0.240 0.252 0.829 O
0.294 0.665 0.431 O
0.294 0.835 0.931 O
0.483 0.101 0.720 O
0.483 0.399 0.220 O
0.517 0.601 0.780 O
0.517 0.899 0.280 O
0.706 0.165 0.069 O
0.706 0.335 0.569 O
0.760 0.748 0.171 O
0.760 0.752 0.671 O
0.762 0.081 0.454 O
0.762 0.419 0.954 O
0.805 0.570 0.551 O
0.805 0.930 0.051 O
```